Record 1
Computed powder diffraction line list of HoMgSe3 for λ = 1.5418 Å (Cu Kα), from the GGA-PBE geometry in the Materials Project.

Structure:
```
10
Lattice="3.725 -6.326 0.000 3.725 6.326 0.000 -3.192 0.000 6.104" Properties=species:S:1:pos:R:3 pbc="T T T"
Ho 0.458 0.000 1.922
Ho 3.799 0.000 4.182
Mg 3.725 2.083 0.000
Mg 3.725 -2.083 0.000
Se 2.652 4.169 1.316
Se 1.605 4.169 4.787
Se 1.102 0.000 4.547
Se 3.155 0.000 1.557
Se 2.652 -4.169 1.316
Se 1.605 -4.169 4.787
```

Most intense lines, 15 to 90 degrees two-theta, low angle first:
d_spacing	2θ/deg	I/Imax
5.502	16.11	36
3.555	25.05	68
3.471	25.67	39
3.323	26.83	40
3.201	27.88	56
3.053	29.25	85
2.784	32.15	39
2.109	42.89	40
2.075	43.62	100
1.735	52.77	42

=====

Record 2
Computed powder diffraction line list of Ho2MgSi2 for λ = 1.5418 Å (Cu Kα), from the GGA-PBE geometry in the Materials Project.

Structure:
```
10
Lattice="7.132 0.000 0.000 0.000 7.132 0.000 0.000 0.000 4.196" Properties=species:S:1:pos:R:3 pbc="T T T"
Ho 1.275 2.291 0.000
Ho 2.291 5.858 0.000
Ho 4.841 1.275 0.000
Ho 5.858 4.841 0.000
Mg 0.000 0.000 2.098
Mg 3.566 3.566 2.098
Si 0.841 4.407 2.098
Si 2.725 0.841 2.098
Si 4.407 6.291 2.098
Si 6.291 2.725 2.098
```

Most intense lines, 15 to 90 degrees two-theta, low angle first:
d_spacing	2θ/deg	I/Imax
4.196	21.17	36
3.566	24.97	25
3.190	27.97	46
2.717	32.96	46
2.539	35.35	100
2.255	39.97	18
2.098	43.12	17
1.753	52.19	17
1.730	52.93	19
1.599	57.64	27

=====

Record 3
Computed powder diffraction line list of SmHoMg2 for λ = 1.5418 Å (Cu Kα), from the GGA-PBE geometry in the Materials Project.

Structure:
```
4
Lattice="0.000 3.809 3.809 3.809 0.000 3.809 3.809 3.809 0.000" Properties=species:S:1:pos:R:3 pbc="T T T"
Sm 0.000 0.000 0.000
Ho 3.809 3.809 3.809
Mg 1.904 1.904 1.904
Mg 5.713 5.713 5.713
```

Most intense lines, 15 to 90 degrees two-theta, low angle first:
d_spacing	2θ/deg	I/Imax
3.809	23.35	62
2.693	33.26	100
2.199	41.04	19
1.904	47.76	18
1.703	53.82	27
1.555	59.44	38
1.347	69.84	12
1.270	74.77	13
1.205	79.59	16
1.148	84.33	8

=====

> Number 2 is which compound?

Ho2MgSi2